(1)
# YNi12
Computed powder X-ray diffraction pattern, Cu Kα (weighted mean of Kα1 and Kα2). Input: a structure optimized by DFT (PBE).
No peak broadening, texture or thermal motion is included.

Principal peaks in the range 2θ = 10–90°, most intense first:
44.18°, I = 100; 44.41°, I = 46; 49.93°, I = 36; 49.71°, I = 34; 38.06°, I = 26; 81.39°, I = 13; 81.25°, I = 13; 73.34°, I = 12; 38.28°, I = 11; 30.90°, I = 9

Cell and atoms:
a = 6.261 Å, b = 6.261 Å, c = 6.261 Å
α = 98.10°, β = 98.10°, γ = 135.89°
Positions (direct):
Y 0.000 0.000 0.000
Ni 0.000 0.000 0.500
Ni 0.000 0.355 0.355
Ni 0.000 0.500 0.000
Ni 0.000 0.645 0.645
Ni 0.275 0.500 0.775
Ni 0.355 0.000 0.355
Ni 0.500 0.000 0.000
Ni 0.500 0.275 0.775
Ni 0.500 0.500 0.500
Ni 0.500 0.725 0.225
Ni 0.645 0.000 0.645
Ni 0.725 0.500 0.225

---

(2)
# La4TcI
Computed powder X-ray diffraction pattern, Cu Kα (weighted mean of Kα1 and Kα2). Input: a structure optimized by DFT (PBE).
No peak broadening, texture or thermal motion is included.

Principal peaks in the range 2θ = 10–90°, most intense first:
30.14°, I = 100; 29.16°, I = 52; 44.68°, I = 36; 27.13°, I = 26; 22.55°, I = 24; 40.09°, I = 24; 53.74°, I = 20; 18.43°, I = 19; 39.43°, I = 18; 28.29°, I = 18

Cell and atoms:
a = 9.063 Å, b = 9.063 Å, c = 7.126 Å
α = 105.14°, β = 105.14°, γ = 118.56°
Positions (direct):
La 0.012 0.612 0.797
La 0.138 0.264 0.700
La 0.264 0.138 0.200
La 0.388 0.988 0.703
La 0.612 0.012 0.297
La 0.736 0.862 0.800
La 0.862 0.736 0.300
La 0.988 0.388 0.203
Tc 0.086 0.914 0.750
Tc 0.914 0.086 0.250
I 0.423 0.577 0.250
I 0.577 0.423 0.750

---

(3)
# TbNd2SmEr4
Computed powder X-ray diffraction pattern, Cu Kα (weighted mean of Kα1 and Kα2). Input: a structure optimized by DFT (PBE).
No peak broadening, texture or thermal motion is included.

Principal peaks in the range 2θ = 10–90°, most intense first:
30.29°, I = 100; 40.94°, I = 89; 26.88°, I = 45; 61.16°, I = 27; 64.45°, I = 23; 53.81°, I = 20; 69.77°, I = 18; 80.90°, I = 12; 88.76°, I = 10; 63.03°, I = 8

Cell and atoms:
a = 9.512 Å, b = 9.512 Å, c = 9.512 Å
α = 138.06°, β = 103.22°, γ = 91.57°
Positions (direct):
Tb 0.500 0.000 0.000
Tb 0.500 0.500 0.500
Nd 0.000 0.000 0.000
Nd 0.000 0.000 0.500
Nd 0.000 0.500 0.000
Nd 0.500 0.000 0.500
Sm 0.000 0.500 0.500
Sm 0.500 0.500 0.000
Er 0.253 0.250 0.003
Er 0.253 0.253 0.500
Er 0.253 0.750 0.503
Er 0.253 0.752 0.000
Er 0.747 0.248 0.000
Er 0.747 0.250 0.497
Er 0.747 0.747 0.500
Er 0.747 0.750 0.997

---

(4)
# K3IO5
Computed powder X-ray diffraction pattern, Cu Kα (weighted mean of Kα1 and Kα2). Input: a structure optimized by DFT (PBE).
No peak broadening, texture or thermal motion is included.

Principal peaks in the range 2θ = 10–90°, most intense first:
29.17°, I = 100; 17.56°, I = 70; 28.27°, I = 42; 40.40°, I = 35; 50.60°, I = 35; 19.89°, I = 27; 21.12°, I = 17; 52.26°, I = 16; 60.47°, I = 15; 33.47°, I = 13

Cell and atoms:
a = 6.314 Å, b = 6.314 Å, c = 8.414 Å
α = 90.00°, β = 90.00°, γ = 90.00°
Positions (direct):
K 0.250 0.250 0.224
K 0.250 0.750 0.000
K 0.250 0.750 0.500
K 0.750 0.250 0.000
K 0.750 0.250 0.500
K 0.750 0.750 0.776
I 0.250 0.250 0.743
I 0.750 0.750 0.257
O 0.044 0.044 0.788
O 0.044 0.456 0.788
O 0.250 0.250 0.526
O 0.456 0.044 0.788
O 0.456 0.456 0.788
O 0.544 0.544 0.212
O 0.544 0.956 0.212
O 0.750 0.750 0.474
O 0.956 0.544 0.212
O 0.956 0.956 0.212